Structure and theoretical X-ray powder pattern of Mn3O4F2 (a DFT-relaxed cell (GGA+U, Alexandria); a wavelength of 1.5418 Å).
Kinematic intensities with the Lorentz-polarization factor, no thermal factor.

Main lines, by intensity (2θ = 10–80°):
2θ = 27.41°, intensity 100.0
2θ = 34.85°, intensity 30.7
2θ = 35.05°, intensity 25.7
2θ = 56.57°, intensity 16.9
2θ = 53.26°, intensity 15.6
2θ = 53.42°, intensity 15.6
2θ = 53.68°, intensity 14.4
2θ = 53.56°, intensity 13.8
2θ = 68.07°, intensity 10.3
2θ = 59.79°, intensity 10.0

Structure:
Lattice parameters (Å, degrees): 4.6012 4.6012 9.2813 90.34 90.34 89.96
Atoms (fractional coordinates):
Mn  0.0000  0.0000  0.0000
Mn  0.0299  0.0208  0.3407
Mn  0.4668  0.5245  0.1606
Mn  0.4755  0.5332  0.8394
Mn  0.5031  0.4969  0.5000
Mn  0.9792  0.9701  0.6593
O  0.1722  0.8105  0.8277
O  0.1895  0.8278  0.1723
O  0.1973  0.8027  0.5000
O  0.2879  0.3271  0.0003
O  0.3103  0.3267  0.3295
O  0.6733  0.6897  0.6705
O  0.6729  0.7121  0.9997
O  0.8102  0.1898  0.5000
F  0.2778  0.2984  0.6808
F  0.7016  0.7222  0.3192
F  0.7763  0.2081  0.8300
F  0.7919  0.2237  0.1700